Structure and simulated powder diffractogram of PrP3H10O14 (a structure optimized by DFT (PBE); Cu Ka).

Unit cell a=7.7672 b=9.0400 c=9.7570 alpha=77.10 beta=79.51 gamma=65.09
Atoms (fractional coordinates):
Pr 0.0653 0.2542 0.2671
Pr 0.9347 0.7458 0.7329
P 0.1302 0.0803 0.6594
P 0.1326 0.2739 0.8728
P 0.4720 0.1351 0.6800
P 0.5280 0.8649 0.3200
P 0.8674 0.7261 0.1272
P 0.8698 0.9197 0.3406
H 0.2073 0.8570 0.9283
H 0.2273 0.9578 0.0308
H 0.2327 0.4883 0.3164
H 0.2690 0.3593 0.4569
H 0.3411 0.4890 0.6161
H 0.3535 0.6662 0.1227
H 0.3600 0.6607 0.5714
H 0.3641 0.3990 0.1248
H 0.4692 0.2233 0.0778
H 0.4903 0.4834 0.7819
H 0.5097 0.5166 0.2181
H 0.5308 0.7767 0.9222
H 0.6359 0.6010 0.8752
H 0.6400 0.3393 0.4286
H 0.6465 0.3338 0.8773
H 0.6589 0.5110 0.3839
H 0.7310 0.6407 0.5431
H 0.7673 0.5117 0.6836
H 0.7727 0.0422 0.9692
H 0.7927 0.1430 0.0717
O 0.0484 0.1607 0.5217
O 0.0476 0.2172 0.7633
O 0.0667 0.4574 0.8404
O 0.0895 0.1942 0.0206
O 0.1057 0.9252 0.7357
O 0.1815 0.4119 0.3817
O 0.2887 0.8497 0.9982
O 0.3001 0.5985 0.6457
O 0.3307 0.9858 0.2933
O 0.3432 0.3008 0.1140
O 0.3580 0.0377 0.6418
O 0.3609 0.1856 0.8313
O 0.3860 0.5543 0.1808
O 0.4453 0.2902 0.5724
O 0.5547 0.7098 0.4276
O 0.6140 0.4457 0.8192
O 0.6391 0.8144 0.1687
O 0.6420 0.9623 0.3582
O 0.6568 0.6992 0.8860
O 0.6693 0.0142 0.7067
O 0.6999 0.4015 0.3543
O 0.7113 0.1503 0.0018
O 0.8185 0.5881 0.6183
O 0.8943 0.0748 0.2643
O 0.9105 0.8058 0.9794
O 0.9333 0.5426 0.1596
O 0.9524 0.7828 0.2367
O 0.9516 0.8393 0.4783

Top 10 peaks for 15 to 90 degrees two-theta, by intensity:
two_theta, d (Å), I (rel.)
18.8, 4.732, 1000
21.6, 4.105, 891
20.5, 4.325, 533
33.9, 2.643, 531
28.6, 3.117, 499
22.2, 4.013, 483
22.0, 4.044, 450
19.8, 4.488, 413
20.2, 4.398, 395
25.4, 3.510, 385


Structure and simulated powder diffractogram of PuPH2O6 (a structure optimized by DFT (PBE); Cu Ka).

Unit cell a=4.7838 b=4.8422 c=5.3589 alpha=63.19 beta=67.90 gamma=64.99
Atoms (fractional coordinates):
Pu 0.0000 0.0000 0.0000
P 0.5000 0.5000 0.5000
H 0.3654 0.2287 0.3231
H 0.6346 0.7713 0.6769
O 0.1719 0.3973 0.7149
O 0.2763 0.8497 0.2819
O 0.4437 0.7145 0.7158
O 0.5563 0.2855 0.2842
O 0.7237 0.1503 0.7181
O 0.8281 0.6027 0.2851

Top 10 peaks for 15 to 90 degrees two-theta, by intensity:
two_theta, d (Å), I (rel.)
23.4, 3.810, 1000
25.0, 3.559, 820
25.2, 3.536, 792
19.1, 4.655, 605
21.6, 4.114, 511
21.1, 4.220, 481
22.9, 3.879, 476
31.7, 2.821, 410
38.6, 2.332, 393
33.7, 2.658, 328


Structure and simulated powder diffractogram of RbPH2O2 (a structure optimized by DFT (PBE); Cu Ka).

Unit cell a=8.2269 b=6.4629 c=7.7976 alpha=90.00 beta=90.00 gamma=90.00
Atoms (fractional coordinates):
Rb 0.1302 0.2500 0.1435
Rb 0.3698 0.7500 0.6435
Rb 0.6302 0.2500 0.3565
Rb 0.8698 0.7500 0.8565
P 0.1197 0.2500 0.6835
P 0.3803 0.7500 0.1835
P 0.6197 0.2500 0.8165
P 0.8803 0.7500 0.3165
H 0.0207 0.7500 0.4250
H 0.2484 0.2500 0.5599
H 0.2516 0.7500 0.0599
H 0.4793 0.2500 0.9250
H 0.5207 0.7500 0.0750
H 0.7484 0.2500 0.9401
H 0.7516 0.7500 0.4401
H 0.9793 0.2500 0.5750
O 0.1250 0.0474 0.7820
O 0.1250 0.4526 0.7820
O 0.3750 0.5474 0.2820
O 0.3750 0.9526 0.2820
O 0.6250 0.0474 0.7180
O 0.6250 0.4526 0.7180
O 0.8750 0.5474 0.2180
O 0.8750 0.9526 0.2180

Top 10 peaks for 15 to 90 degrees two-theta, by intensity:
two_theta, d (Å), I (rel.)
25.7, 3.470, 1000
28.9, 3.093, 481
37.8, 2.381, 312
25.3, 3.523, 300
37.2, 2.415, 260
27.6, 3.231, 216
22.8, 3.899, 214
20.9, 4.258, 182
34.6, 2.591, 179
15.7, 5.659, 176


Structure and simulated powder diffractogram of Rb2PH4Se3O2 (a structure optimized by DFT (PBE); Cu Ka).

Unit cell a=10.0363 b=12.6534 c=7.6934 alpha=90.00 beta=90.00 gamma=90.00
Atoms (fractional coordinates):
Rb 0.0000 0.0000 0.0000
Rb 0.0000 0.0000 0.5000
Rb 0.1089 0.3385 0.0000
Rb 0.3911 0.8385 0.5000
Rb 0.5000 0.5000 0.0000
Rb 0.5000 0.5000 0.5000
Rb 0.6089 0.1615 0.5000
Rb 0.8911 0.6615 0.0000
P 0.1145 0.4935 0.5000
P 0.3855 0.9935 0.0000
P 0.6145 0.0065 0.0000
P 0.8855 0.5065 0.5000
H 0.0661 0.7613 0.3051
H 0.0661 0.7613 0.6949
H 0.1653 0.8243 0.1880
H 0.1653 0.8243 0.8120
H 0.3347 0.3243 0.3120
H 0.3347 0.3243 0.6880
H 0.4339 0.2613 0.1949
H 0.4339 0.2613 0.8051
H 0.5661 0.7387 0.1949
H 0.5661 0.7387 0.8051
H 0.6653 0.6757 0.3120
H 0.6653 0.6757 0.6880
H 0.8347 0.1757 0.1880
H 0.8347 0.1757 0.8120
H 0.9339 0.2387 0.3051
H 0.9339 0.2387 0.6949
Se 0.1503 0.3200 0.5000
Se 0.1867 0.5709 0.2622
Se 0.1867 0.5709 0.7378
Se 0.3133 0.0709 0.2378
Se 0.3133 0.0709 0.7622
Se 0.3497 0.8200 0.0000
Se 0.6503 0.1800 0.0000
Se 0.6867 0.9291 0.2378
Se 0.6867 0.9291 0.7622
Se 0.8133 0.4291 0.2622
Se 0.8133 0.4291 0.7378
Se 0.8497 0.6800 0.5000
O 0.0808 0.8319 0.2545
O 0.0808 0.8319 0.7455
O 0.4192 0.3319 0.2455
O 0.4192 0.3319 0.7545
O 0.5808 0.6681 0.2455
O 0.5808 0.6681 0.7545
O 0.9192 0.1681 0.2545
O 0.9192 0.1681 0.7455

Top 10 peaks for 15 to 90 degrees two-theta, by intensity:
two_theta, d (Å), I (rel.)
27.6, 3.234, 1000
30.1, 2.968, 786
28.6, 3.124, 727
32.7, 2.735, 635
29.6, 3.017, 599
32.6, 2.750, 420
51.9, 1.762, 307
49.3, 1.849, 294
29.3, 3.053, 268
22.9, 3.888, 260